# La4Al5Br2
Simulated PXRD pattern, Cu Ka. Input: a cell relaxed with GGA-PBE.
Neutral-atom scattering factors, no anomalous dispersion.

Structure:
a b c (Å): 16.241 17.321 4.364
angles (deg): 90.00 90.00 90.00
Space group Cmmm (No. 65)
Inequivalent atoms, fractional coordinates:
1 La 0.000 0.136 0.000 [4 per cell]
2 La 0.141 0.318 0.500 [8 per cell]
3 La 0.235 0.000 0.000 [4 per cell]
4 Al 0.079 0.000 0.500 [4 per cell]
5 Al 0.152 0.132 0.500 [8 per cell]
6 Al 0.213 0.185 0.000 [8 per cell]
7 Br 0.000 0.328 0.000 [4 per cell]
8 Br 0.123 0.500 0.500 [4 per cell]

Principal peaks in the range 2θ from 10° to 90°, in order of falling intensity:
- 2θ 30.1, rel. 100.0, hkl 4 0 1
- 2θ 43.7, rel. 44.3, hkl 4 6 1
- 2θ 37.1, rel. 42.6, hkl 3 5 1
- 2θ 31.0, rel. 35.4, hkl 0 6 0
- 2θ 31.1, rel. 35.2, hkl 2 4 1
- 2θ 25.3, rel. 25.9, hkl 2 2 1
- 2θ 41.4, rel. 25.4, hkl 0 0 2
- 2θ 47.1, rel. 20.6, hkl 7 5 0
- 2θ 23.3, rel. 20.1, hkl 2 4 0
- 2θ 26.3, rel. 19.3, hkl 1 5 0